1.
# KBa3Nb2O9
Theoretical X-ray powder pattern, Cu Kα. Input: a DFT-relaxed cell (GGA-PBE, Alexandria).

```
KBa3Nb2O9
1.0
6.011 0.000 0.000
-3.006 5.206 0.000
0.000 0.000 8.332
K Ba Nb O
1 3 2 9
Direct
0.000 0.000 0.000
0.000 0.000 0.500
0.333 0.667 0.231
0.667 0.333 0.769
0.333 0.667 0.667
0.667 0.333 0.333
0.000 0.500 0.500
0.174 0.348 0.776
0.174 0.826 0.776
0.348 0.174 0.224
0.500 0.000 0.500
0.500 0.500 0.500
0.652 0.826 0.776
0.826 0.174 0.224
0.826 0.652 0.224
```

Largest 6 diffraction maxima, most intense first, 2θ from 15° to 90°:
Position (°2θ)	I/Imax
27.4	100
29.7	98
40.9	60
51.4	33
61.7	20
52.8	19


2.
# TbY10Er4
Theoretical X-ray powder pattern, Cu Kα. Input: a DFT-relaxed cell (GGA-PBE, Alexandria).

```
TbY10Er4
1.0
-6.068 6.068 3.836
6.068 -6.068 3.836
6.068 6.068 -3.836
Tb Y Er
1 10 4
Direct
0.000 0.000 0.000
0.050 0.151 0.700
0.151 0.451 0.101
0.250 0.750 0.500
0.350 0.050 0.899
0.451 0.350 0.300
0.549 0.650 0.700
0.650 0.950 0.101
0.750 0.250 0.500
0.849 0.549 0.899
0.950 0.849 0.300
0.200 0.600 0.800
0.400 0.200 0.600
0.600 0.800 0.400
0.800 0.400 0.200
```

Largest 6 diffraction maxima, most intense first, 2θ from 15° to 90°:
Position (°2θ)	I/Imax
33.0	100
20.0	52
59.0	37
38.9	29
47.4	18
78.9	16


3.
# RbZnCdHg2
Theoretical X-ray powder pattern, Cu Kα. Input: a DFT-relaxed cell (GGA-PBE, Alexandria).

```
RbZnCdHg2
1.0
5.501 0.000 0.000
0.000 5.501 0.000
0.000 0.000 5.263
Rb Zn Cd Hg
1 1 1 2
Direct
0.000 0.000 0.000
0.500 0.500 0.500
0.500 0.500 0.000
0.000 0.500 0.500
0.500 0.000 0.500
```

Largest 6 diffraction maxima, most intense first, 2θ from 15° to 90°:
Position (°2θ)	I/Imax
28.5	100
32.6	58
47.8	39
55.7	31
34.1	26
16.8	22


4.
# PmNd5Pd4
Theoretical X-ray powder pattern, Cu Kα. Input: a DFT-relaxed cell (GGA-PBE, Alexandria).

```
PmNd5Pd4
1.0
9.715 -2.113 0.000
9.715 2.113 0.000
-3.248 0.000 7.261
Pm Nd Pd
1 5 4
Direct
0.000 0.000 0.000
0.000 0.000 0.500
0.336 0.336 0.083
0.336 0.336 0.589
0.664 0.664 0.411
0.664 0.664 0.917
0.206 0.206 0.206
0.500 0.500 0.251
0.500 0.500 0.749
0.794 0.794 0.794
```

Largest 6 diffraction maxima, most intense first, 2θ from 15° to 90°:
Position (°2θ)	I/Imax
31.3	100
40.2	64
30.2	61
53.3	32
25.9	32
42.8	24


5.
# La4PmH8
Theoretical X-ray powder pattern, Cu Kα. Input: a DFT-relaxed cell (GGA-PBE, Alexandria).

```
La4PmH8
1.0
6.046 0.000 0.000
0.000 6.046 0.000
0.000 0.000 6.046
La Pm H
4 1 8
Direct
0.000 0.000 0.000
0.000 0.500 0.500
0.500 0.000 0.500
0.500 0.500 0.000
0.500 0.500 0.500
0.268 0.268 0.268
0.268 0.268 0.732
0.268 0.732 0.268
0.268 0.732 0.732
0.732 0.268 0.268
0.732 0.268 0.732
0.732 0.732 0.268
0.732 0.732 0.732
```

Largest 6 diffraction maxima, most intense first, 2θ from 15° to 90°:
Position (°2θ)	I/Imax
29.5	100
42.3	80
25.5	67
69.5	35
50.0	32
52.4	27


6.
# NdU5Se6
Theoretical X-ray powder pattern, Cu Kα. Input: a DFT-relaxed cell (GGA-PBE, Alexandria).

```
NdU5Se6
1.0
3.454 -6.005 0.000
3.454 6.005 0.000
-2.327 0.000 6.988
Nd U Se
1 5 6
Direct
0.000 0.000 0.000
0.161 0.839 0.500
0.331 0.669 0.000
0.500 0.500 0.500
0.669 0.331 0.000
0.839 0.161 0.500
0.086 0.426 0.255
0.260 0.260 0.753
0.426 0.086 0.255
0.574 0.914 0.745
0.740 0.740 0.247
0.914 0.574 0.745
```

Largest 6 diffraction maxima, most intense first, 2θ from 15° to 90°:
Position (°2θ)	I/Imax
31.0	100
43.3	27
45.4	24
27.1	19
43.4	13
55.9	13


7.
# LiMnAu4
Theoretical X-ray powder pattern, Cu Kα. Input: a DFT-relaxed cell (GGA-PBE, Alexandria).

```
LiMnAu4
1.0
3.269 0.000 0.000
0.000 3.269 0.000
0.000 0.000 9.379
Li Mn Au
1 1 4
Direct
0.000 0.000 0.000
0.500 0.500 0.500
0.000 0.000 0.340
0.000 0.000 0.660
0.500 0.500 0.152
0.500 0.500 0.848
```

Largest 6 diffraction maxima, most intense first, 2θ from 15° to 90°:
Position (°2θ)	I/Imax
39.9	100
39.0	56
28.9	48
71.2	37
56.3	19
73.1	15


8.
# Tl2Cd5Au4
Theoretical X-ray powder pattern, Cu Kα. Input: a DFT-relaxed cell (GGA-PBE, Alexandria).

```
Tl2Cd5Au4
1.0
0.000 5.471 8.660
2.956 0.000 8.660
2.956 5.471 0.000
Tl Cd Au
2 5 4
Direct
0.156 0.156 0.844
0.844 0.844 0.156
0.000 0.000 0.500
0.250 0.250 0.250
0.500 0.500 0.000
0.500 0.500 0.500
0.750 0.750 0.750
0.231 0.503 0.497
0.497 0.769 0.231
0.503 0.231 0.769
0.769 0.497 0.503
```

Largest 6 diffraction maxima, most intense first, 2θ from 15° to 90°:
Position (°2θ)	I/Imax
32.8	100
36.8	67
47.0	51
38.9	40
29.2	37
34.5	30


9.
# Li2PWN4
Theoretical X-ray powder pattern, Cu Kα. Input: a DFT-relaxed cell (GGA-PBE, Alexandria).

```
Li2PWN4
1.0
-2.326 2.326 4.235
2.326 -2.326 4.235
2.326 2.326 -4.235
Li P W N
2 1 1 4
Direct
0.000 0.000 0.000
0.750 0.250 0.500
0.500 0.500 0.000
0.250 0.750 0.500
0.201 0.160 0.587
0.387 0.799 0.959
0.572 0.613 0.413
0.840 0.428 0.041
```

Largest 6 diffraction maxima, most intense first, 2θ from 15° to 90°:
Position (°2θ)	I/Imax
21.8	100
34.5	48
44.9	27
37.3	22
27.1	18
54.8	17


10.
# Pa2Fe5P3
Theoretical X-ray powder pattern, Cu Kα. Input: a DFT-relaxed cell (GGA-PBE, Alexandria).

```
Pa2Fe5P3
1.0
1.888 -11.725 0.000
1.888 11.725 0.000
0.000 0.000 6.237
Pa Fe P
4 10 6
Direct
0.010 0.990 0.500
0.324 0.676 0.509
0.676 0.324 0.009
0.990 0.010 0.000
0.108 0.892 0.830
0.208 0.792 0.720
0.210 0.790 0.320
0.365 0.635 0.007
0.430 0.570 0.635
0.570 0.430 0.135
0.635 0.365 0.507
0.790 0.210 0.820
0.792 0.208 0.220
0.892 0.108 0.330
0.113 0.887 0.282
0.269 0.731 0.019
0.437 0.563 0.267
0.563 0.437 0.767
0.731 0.269 0.519
0.887 0.113 0.782
```

Largest 6 diffraction maxima, most intense first, 2θ from 15° to 90°:
Position (°2θ)	I/Imax
39.2	100
26.2	46
38.7	43
42.1	37
36.9	37
41.1	28


11.
# NaTbGeO4
Theoretical X-ray powder pattern, Cu Kα. Input: a DFT-relaxed cell (GGA-PBE, Alexandria).

```
NaTbGeO4
1.0
11.567 0.000 0.000
0.000 6.535 0.000
0.000 0.000 5.343
Na Tb Ge O
4 4 4 16
Direct
0.000 0.000 0.000
0.000 0.500 0.000
0.500 0.000 0.500
0.500 0.500 0.500
0.222 0.250 0.496
0.278 0.750 0.996
0.722 0.250 0.004
0.778 0.750 0.504
0.097 0.750 0.555
0.403 0.250 0.055
0.597 0.750 0.945
0.903 0.250 0.445
0.045 0.250 0.325
0.111 0.750 0.229
0.174 0.543 0.708
0.174 0.957 0.708
0.326 0.043 0.208
0.326 0.457 0.208
0.389 0.250 0.729
0.455 0.750 0.825
0.545 0.250 0.175
0.611 0.750 0.271
0.674 0.543 0.792
0.674 0.957 0.792
0.826 0.043 0.292
0.826 0.457 0.292
0.889 0.250 0.771
0.955 0.750 0.675
```

Largest 6 diffraction maxima, most intense first, 2θ from 15° to 90°:
Position (°2θ)	I/Imax
31.7	100
22.8	79
27.3	43
15.3	36
33.1	29
46.6	27


12.
# Mn3Te4I2
Theoretical X-ray powder pattern, Cu Kα. Input: a DFT-relaxed cell (GGA-PBE, Alexandria).

```
Mn3Te4I2
1.0
3.848 0.000 0.000
-1.924 3.333 0.000
0.000 0.000 27.399
Mn Te I
3 4 2
Direct
0.000 0.000 0.000
0.333 0.667 0.269
0.333 0.667 0.731
0.000 0.000 0.210
0.000 0.000 0.329
0.000 0.000 0.671
0.000 0.000 0.790
0.333 0.667 0.068
0.333 0.667 0.932
```

Largest 6 diffraction maxima, most intense first, 2θ from 15° to 90°:
Position (°2θ)	I/Imax
40.1	100
33.3	88
26.7	75
27.5	63
47.2	55
31.4	35